This entry pairs a crystal structure of Pr2WO6 with its theoretical PXRD pattern. Radiation: Cu Kα, 1.54184 Å. Structure: the PBE+U geometry in the Materials Project.

Largest 12 diffraction maxima, by angle, 2θ from 10° to 90°:
d [Å]  Rel. int.
3.271  100
3.197  83
2.901  22
2.818  21
2.694  17
2.021  25
1.980  16
1.974  23
1.738  13
1.713  14
1.656  12
1.636  10

Atomic structure:
Cell lengths 10.271, 10.271, 5.639 Å; angles 104.39, 104.39, 68.80 degrees
Atoms (fractional coordinates):
Pr  0.060  0.289  0.886
Pr  0.109  0.891  0.750
Pr  0.289  0.060  0.386
Pr  0.371  0.629  0.250
Pr  0.629  0.371  0.750
Pr  0.711  0.940  0.614
Pr  0.891  0.109  0.250
Pr  0.940  0.711  0.114
W  0.200  0.496  0.560
W  0.496  0.200  0.060
W  0.504  0.800  0.940
W  0.800  0.504  0.440
O  0.068  0.473  0.268
O  0.078  0.106  0.079
O  0.106  0.078  0.579
O  0.164  0.680  0.422
O  0.175  0.615  0.868
O  0.213  0.324  0.636
O  0.320  0.836  0.078
O  0.324  0.213  0.136
O  0.385  0.454  0.519
O  0.385  0.825  0.632
O  0.454  0.385  0.019
O  0.473  0.068  0.768
O  0.527  0.932  0.232
O  0.546  0.615  0.981
O  0.615  0.175  0.368
O  0.615  0.546  0.481
O  0.676  0.787  0.864
O  0.680  0.164  0.922
O  0.787  0.676  0.364
O  0.825  0.385  0.132
O  0.836  0.320  0.578
O  0.894  0.922  0.421
O  0.922  0.894  0.921
O  0.932  0.527  0.732

This entry pairs a crystal structure of PrW2O8 with its theoretical PXRD pattern. Radiation: Cu Kα, 1.54184 Å. Structure: the PBE+U geometry in the Materials Project.

Largest 12 diffraction maxima, by angle, 2θ from 10° to 90°:
d [Å]  Rel. int.
6.203  54
6.079  48
5.179  89
4.164  100
3.726  53
3.313  71
3.237  98
3.102  62
3.040  69
2.688  50
2.592  60
1.960  43

Atomic structure:
Cell lengths 7.430, 7.498, 7.603 Å; angles 113.43, 116.10, 91.50 degrees
Atoms (fractional coordinates):
Pr  0.173  0.287  0.451
Pr  0.827  0.713  0.549
W  0.273  0.294  0.031
W  0.351  0.895  0.709
W  0.649  0.105  0.291
W  0.727  0.706  0.969
O  0.076  0.324  0.112
O  0.145  0.996  0.808
O  0.169  0.647  0.550
O  0.197  0.358  0.805
O  0.290  0.003  0.524
O  0.400  0.179  0.274
O  0.480  0.525  0.253
O  0.484  0.838  0.002
O  0.516  0.162  0.998
O  0.520  0.475  0.747
O  0.600  0.821  0.726
O  0.710  0.997  0.476
O  0.803  0.642  0.195
O  0.831  0.353  0.450
O  0.855  0.004  0.192
O  0.924  0.676  0.888